No. 1
For PrSm3Ho8, a structure optimized by DFT (GGA-PBE) gives the computed powder X-ray diffraction pattern in this record (Cu Kα (weighted mean of Kα1 and Kα2)).

Main lines, low angle first (10 to 90 degrees two-theta):
2θ = 15.9°, d = 5.585 Å, intensity 14
2θ = 27.4°, d = 3.259 Å, intensity 18
2θ = 31.3°, d = 2.856 Å, intensity 52
2θ = 31.6°, d = 2.832 Å, intensity 100
2θ = 32.0°, d = 2.796 Å, intensity 68
2θ = 35.3°, d = 2.542 Å, intensity 21
2θ = 35.8°, d = 2.509 Å, intensity 40
2θ = 45.4°, d = 1.997 Å, intensity 16
2θ = 51.6°, d = 1.770 Å, intensity 22
2θ = 55.9°, d = 1.644 Å, intensity 17
2θ = 56.5°, d = 1.630 Å, intensity 19
2θ = 66.0°, d = 1.415 Å, intensity 24

Atomic structure:
Lattice parameters (Å, degrees): 8.6686 8.6686 8.6686 136.56 98.19 97.55
Element x y z (fractional)
Pr (0.0000, 0.0000, 0.0000)
Sm (0.2520, 0.7520, 0.5000)
Sm (0.5000, 0.5000, 0.0000)
Sm (0.7480, 0.2480, 0.5000)
Ho (0.0797, 0.2503, 0.8293)
Ho (0.2528, 0.2488, 0.5016)
Ho (0.2528, 0.7512, 0.0040)
Ho (0.4210, 0.2503, 0.1707)
Ho (0.5790, 0.7497, 0.8293)
Ho (0.7472, 0.2488, 0.9960)
Ho (0.7472, 0.7512, 0.4984)
Ho (0.9203, 0.7497, 0.1707)

***

No. 2
For Nd6TlCo2Cl3, a structure optimized by DFT (GGA-PBE) gives the computed powder X-ray diffraction pattern in this record (Cu Kα (weighted mean of Kα1 and Kα2)).

Main lines, low angle first (10 to 90 degrees two-theta):
2θ = 11.7°, d = 7.535 Å, intensity 61
2θ = 26.8°, d = 3.327 Å, intensity 35
2θ = 30.4°, d = 2.938 Å, intensity 100
2θ = 31.9°, d = 2.804 Å, intensity 12
2θ = 34.7°, d = 2.585 Å, intensity 18
2θ = 38.5°, d = 2.337 Å, intensity 13
2θ = 40.2°, d = 2.241 Å, intensity 23
2θ = 40.9°, d = 2.205 Å, intensity 16
2θ = 41.7°, d = 2.165 Å, intensity 17
2θ = 42.7°, d = 2.118 Å, intensity 12
2θ = 46.1°, d = 1.969 Å, intensity 17
2θ = 50.7°, d = 1.802 Å, intensity 17

Atomic structure:
Lattice parameters (Å, degrees): 10.5324 10.5324 8.8323 105.01 105.01 21.55
Element x y z (fractional)
Nd (0.0416, 0.0416, 0.2916)
Nd (0.3103, 0.3103, 0.4185)
Nd (0.3356, 0.3356, 0.8717)
Nd (0.6644, 0.6644, 0.1283)
Nd (0.6897, 0.6897, 0.5815)
Nd (0.9584, 0.9584, 0.7084)
Tl (0.5000, 0.5000, 0.0000)
Co (0.1735, 0.1735, 0.3503)
Co (0.8265, 0.8265, 0.6497)
Cl (0.1837, 0.1837, 0.8573)
Cl (0.5000, 0.5000, 0.5000)
Cl (0.8163, 0.8163, 0.1427)

***

No. 3
For MoHSe2N, a structure optimized by DFT (GGA-PBE) gives the computed powder X-ray diffraction pattern in this record (Cu Kα (weighted mean of Kα1 and Kα2)).

Main lines, low angle first (10 to 90 degrees two-theta):
2θ = 17.7°, d = 5.020 Å, intensity 83
2θ = 23.2°, d = 3.827 Å, intensity 100
2θ = 29.3°, d = 3.043 Å, intensity 28
2θ = 35.8°, d = 2.510 Å, intensity 82
2θ = 40.2°, d = 2.245 Å, intensity 19
2θ = 43.1°, d = 2.099 Å, intensity 77
2θ = 46.9°, d = 1.936 Å, intensity 15
2θ = 47.5°, d = 1.914 Å, intensity 18
2θ = 51.5°, d = 1.775 Å, intensity 28
2θ = 57.2°, d = 1.610 Å, intensity 33
2θ = 60.9°, d = 1.522 Å, intensity 33
2θ = 72.7°, d = 1.301 Å, intensity 19

Atomic structure:
Lattice parameters (Å, degrees): 5.0196 5.0196 3.8271 90.00 90.00 90.00
Element x y z (fractional)
Mo (0.0000, 0.0000, 0.0000)
H (0.5000, 0.5000, 0.5000)
Se (0.0000, 0.5000, 0.0000)
Se (0.5000, 0.0000, 0.0000)
N (0.0000, 0.0000, 0.5000)

***

No. 4
For ScCd12Ag6, a structure optimized by DFT (GGA-PBE) gives the computed powder X-ray diffraction pattern in this record (Cu Kα (weighted mean of Kα1 and Kα2)).

Main lines, low angle first (10 to 90 degrees two-theta):
2θ = 26.9°, d = 3.319 Å, intensity 13
2θ = 27.5°, d = 3.247 Å, intensity 10
2θ = 35.8°, d = 2.508 Å, intensity 44
2θ = 36.7°, d = 2.447 Å, intensity 39
2θ = 37.2°, d = 2.418 Å, intensity 100
2θ = 38.5°, d = 2.340 Å, intensity 68
2θ = 39.1°, d = 2.302 Å, intensity 42
2θ = 40.0°, d = 2.253 Å, intensity 16
2θ = 40.9°, d = 2.208 Å, intensity 14
2θ = 56.7°, d = 1.624 Å, intensity 10
2θ = 64.4°, d = 1.447 Å, intensity 13
2θ = 69.6°, d = 1.350 Å, intensity 14

Atomic structure:
Lattice parameters (Å, degrees): 7.3458 7.3458 7.3458 88.40 88.40 88.40
Element x y z (fractional)
Sc (0.0000, 0.0000, 0.0000)
Cd (0.0323, 0.1576, 0.3739)
Cd (0.1576, 0.3739, 0.0323)
Cd (0.2009, 0.4713, 0.5669)
Cd (0.3739, 0.0323, 0.1576)
Cd (0.4331, 0.7991, 0.5287)
Cd (0.4713, 0.5669, 0.2009)
Cd (0.5287, 0.4331, 0.7991)
Cd (0.5669, 0.2009, 0.4713)
Cd (0.6261, 0.9677, 0.8424)
Cd (0.7991, 0.5287, 0.4331)
Cd (0.8424, 0.6261, 0.9677)
Cd (0.9677, 0.8424, 0.6261)
Ag (0.1122, 0.7251, 0.2667)
Ag (0.2667, 0.1122, 0.7251)
Ag (0.2749, 0.7333, 0.8878)
Ag (0.7251, 0.2667, 0.1122)
Ag (0.7333, 0.8878, 0.2749)
Ag (0.8878, 0.2749, 0.7333)

***

No. 5
For AcNdSm2Ho4, a structure optimized by DFT (GGA-PBE) gives the computed powder X-ray diffraction pattern in this record (Cu Kα (weighted mean of Kα1 and Kα2)).

Main lines, low angle first (10 to 90 degrees two-theta):
2θ = 26.5°, d = 3.366 Å, intensity 45
2θ = 29.8°, d = 2.996 Å, intensity 100
2θ = 40.3°, d = 2.239 Å, intensity 59
2θ = 40.3°, d = 2.236 Å, intensity 29
2θ = 52.8°, d = 1.733 Å, intensity 7
2θ = 53.0°, d = 1.729 Å, intensity 13
2θ = 60.1°, d = 1.541 Å, intensity 9
2θ = 60.2°, d = 1.538 Å, intensity 18
2θ = 61.9°, d = 1.499 Å, intensity 8
2θ = 63.4°, d = 1.467 Å, intensity 23
2θ = 68.5°, d = 1.370 Å, intensity 12
2θ = 79.5°, d = 1.206 Å, intensity 8

Atomic structure:
Lattice parameters (Å, degrees): 9.6498 9.6498 9.6498 137.91 103.36 91.54
Element x y z (fractional)
Ac (0.0000, 0.0000, 0.0000)
Ac (0.5000, 0.0000, 0.5000)
Nd (0.5000, 0.0000, 0.0000)
Nd (0.5000, 0.5000, 0.5000)
Sm (0.0000, 0.0000, 0.5000)
Sm (0.0000, 0.5000, 0.0000)
Sm (0.0000, 0.5000, 0.5000)
Sm (0.5000, 0.5000, 0.0000)
Ho (0.2402, 0.7417, 0.4985)
Ho (0.2486, 0.2613, 0.5127)
Ho (0.2486, 0.7359, 0.9873)
Ho (0.2568, 0.2583, 0.9985)
Ho (0.7432, 0.7417, 0.0015)
Ho (0.7514, 0.2641, 0.0127)
Ho (0.7514, 0.7387, 0.4873)
Ho (0.7598, 0.2583, 0.5015)